# 1
Theoretical powder XRD pattern of Mg2In3Ni2 for Cu Kα X-rays, from a DFT-relaxed cell (PBE, Alexandria).

Main lines, by angle (2θ from 5° to 70°):
- d 4.639, 19.1 deg, intensity 100, hkl 2 0 -1
- d 3.810, 23.3 deg, intensity 40, hkl 1 1 0
- d 2.695, 33.2 deg, intensity 34, hkl 1 1 -2
- d 2.575, 34.8 deg, intensity 63, hkl 3 1 -1
- d 2.462, 36.5 deg, intensity 24, hkl 4 0 -1
- d 2.331, 38.6 deg, intensity 52, hkl 2 0 -3
- d 2.313, 38.9 deg, intensity 92, hkl 1 1 2
- d 2.110, 42.9 deg, intensity 53, hkl 3 1 1
- d 2.095, 43.2 deg, intensity 47, hkl 0 2 0
- d 1.947, 46.6 deg, intensity 26, hkl 4 0 1

Structural model:
a = 9.8480 Å, b = 4.1901 Å, c = 7.0390 Å
α = 90.00°, β = 111.63°, γ = 90.00°
Space group C2/m (No. 12)
Inequivalent atoms, fractional coordinates:
Mg1 0.1590 0.0000 0.3158 x4
In1 0.0000 0.5000 0.5000 x2
In2 0.1348 0.5000 0.9595 x4
Ni1 0.1308 0.0000 0.6941 x4

---

# 2
Theoretical powder XRD pattern of Ni18Bi3AsS16 for Cu Kα X-rays, from a DFT-relaxed cell (PBE, Alexandria).

Main lines, by angle (2θ from 5° to 70°):
- d 4.332, 20.5 deg, intensity 54, hkl 1 1 2
- d 3.636, 24.5 deg, intensity 58, hkl 2 2 0
- d 3.252, 27.4 deg, intensity 67, hkl 3 1 0
- d 2.785, 32.1 deg, intensity 100, hkl 3 1 2
- d 2.388, 37.7 deg, intensity 78, hkl 2 0 4
- d 2.300, 39.2 deg, intensity 65, hkl 4 2 0
- d 1.861, 48.9 deg, intensity 67, hkl 4 0 4
- d 1.818, 50.2 deg, intensity 35, hkl 4 4 0
- d 1.803, 50.6 deg, intensity 59, hkl 3 3 4
- d 1.714, 53.5 deg, intensity 40, hkl 6 0 0

Structural model:
a = 10.2839 Å, b = 10.2839 Å, c = 10.7868 Å
α = 90.00°, β = 90.00°, γ = 90.00°
Space group I4/mmm (No. 139)
Inequivalent atoms, fractional coordinates:
Ni1 0.0000 0.5000 0.0000 x4
Ni2 0.1428 0.1428 0.1218 x16
Ni3 0.1724 0.1724 0.3742 x16
Bi1 0.0000 0.0000 0.5000 x2
Bi2 0.0000 0.5000 0.2500 x4
As1 0.0000 0.0000 0.0000 x2
S1 0.0000 0.2275 0.2606 x16
S2 0.1513 0.3356 0.0000 x16